[1]
For OsO2F4, a crystal structure in the Materials Project, relaxed with PBE gives the calculated powder X-ray diffraction pattern in this record (Cu Kα (λ = 1.5418 Å)).
No peak broadening, texture or thermal motion is included.

Atomic structure:
```
data_OsO2F4
_chemical_formula_sum 'Os6 O12 F24'
_cell_length_a 5.0212
_cell_length_b 5.0212
_cell_length_c 27.8725
_cell_angle_alpha 90.00
_cell_angle_beta 90.00
_cell_angle_gamma 120.00
_space_group_name_H-M_alt 'P 61'
_space_group_IT_number 169
loop_
_space_group_symop_operation_xyz
'x,y,z'
'x-y,x,z+1/6'
'-y,x-y,z+1/3'
'-x,-y,z+1/2'
'-x+y,-x,z+2/3'
'y,-x+y,z+5/6'
loop_
_atom_site_label
_atom_site_fract_x
_atom_site_fract_y
_atom_site_fract_z
_atom_site_occupancy
Os1 0.0097 0.4653 0.0000 1
O1 0.1798 0.7368 0.7055 1
O2 0.2568 0.7388 0.9605 1
F1 0.0391 0.2555 0.5386 1
F2 0.0442 0.8648 0.4615 1
F3 0.1494 0.4785 0.8702 1
F4 0.2272 0.6619 0.1316 1
```

The 10 most intense peaks (10° ≤ 2θ ≤ 80°), in order of rising 2θ:
- hkl 0 0 6, 19.11 deg, rel. 53
- hkl 1 0 0, 20.42 deg, rel. 12
- hkl 1 0 2, 21.41 deg, rel. 100
- hkl 1 0 4, 24.12 deg, rel. 71
- hkl 1 0 8, 32.94 deg, rel. 29
- hkl 1 1 2, 36.36 deg, rel. 14
- hkl 1 0 10, 38.36 deg, rel. 17
- hkl 1 1 8, 44.48 deg, rel. 17
- hkl 2 0 6, 46.09 deg, rel. 22
- hkl 2 0 12, 58.11 deg, rel. 14

[2]
For OsOF4, a crystal structure in the Materials Project, relaxed with PBE gives the calculated powder X-ray diffraction pattern in this record (Cu Kα (λ = 1.5418 Å)).
No peak broadening, texture or thermal motion is included.

Atomic structure:
```
data_OsOF4
_chemical_formula_sum 'Os8 O8 F32'
_cell_length_a 5.7861
_cell_length_b 9.8228
_cell_length_c 13.1565
_cell_angle_alpha 90.00
_cell_angle_beta 90.00
_cell_angle_gamma 90.00
_space_group_name_H-M_alt 'P 21 21 21'
_space_group_IT_number 19
loop_
_space_group_symop_operation_xyz
'x,y,z'
'-x+1/2,-y,z+1/2'
'x+1/2,-y+1/2,-z'
'-x,y+1/2,-z+1/2'
loop_
_atom_site_label
_atom_site_fract_x
_atom_site_fract_y
_atom_site_fract_z
_atom_site_occupancy
Os1 0.1050 0.2319 0.3000 1
Os2 0.1455 0.4901 0.9858 1
O1 0.1037 0.5723 0.5296 1
O2 0.1377 0.8194 0.2250 1
F1 0.0699 0.8616 0.4656 1
F2 0.0892 0.1119 0.5527 1
F3 0.1020 0.5892 0.1256 1
F4 0.1085 0.1086 0.1898 1
F5 0.1280 0.4061 0.8573 1
F6 0.1510 0.3482 0.4292 1
F7 0.1593 0.8700 0.8624 1
F8 0.1749 0.6615 0.7311 1
```

The 10 most intense peaks (10° ≤ 2θ ≤ 80°), in order of rising 2θ:
- hkl 1 0 1, 16.74 deg, rel. 32
- hkl 1 1 0, 17.79 deg, rel. 30
- hkl 1 1 1, 19.04 deg, rel. 77
- hkl 0 1 3, 22.20 deg, rel. 24
- hkl 1 1 2, 22.38 deg, rel. 57
- hkl 0 2 2, 22.59 deg, rel. 100
- hkl 1 2 1, 24.72 deg, rel. 31
- hkl 0 0 4, 27.09 deg, rel. 31
- hkl 1 1 4, 32.62 deg, rel. 24
- hkl 2 2 1, 36.69 deg, rel. 27

[3]
For Sb2OsO2F14, a crystal structure in the Materials Project, relaxed with PBE gives the calculated powder X-ray diffraction pattern in this record (Cu Kα (λ = 1.5418 Å)).
No peak broadening, texture or thermal motion is included.

Atomic structure:
```
data_Sb2OsO2F14
_chemical_formula_sum 'Sb4 Os2 O4 F28'
_cell_length_a 7.7319
_cell_length_b 9.0392
_cell_length_c 10.4510
_cell_angle_alpha 97.48
_cell_angle_beta 111.24
_cell_angle_gamma 110.62
_space_group_name_H-M_alt 'P -1'
_space_group_IT_number 2
loop_
_space_group_symop_operation_xyz
'x,y,z'
'-x,-y,-z'
loop_
_atom_site_label
_atom_site_fract_x
_atom_site_fract_y
_atom_site_fract_z
_atom_site_occupancy
Sb1 0.0550 0.1536 0.3191 1
Sb2 0.4073 0.6987 0.8642 1
Os1 0.3228 0.7376 0.2483 1
O1 0.2664 0.7270 0.3896 1
O2 0.4990 0.0623 0.6994 1
F1 0.0163 0.8235 0.5263 1
F2 0.0917 0.1412 0.1495 1
F3 0.1114 0.7813 0.1338 1
F4 0.1480 0.5169 0.1338 1
F5 0.1508 0.0686 0.7608 1
F6 0.1854 0.4862 0.7968 1
F7 0.1862 0.7811 0.7921 1
F8 0.2287 0.3847 0.3885 1
F9 0.2703 0.0926 0.4138 1
F10 0.3740 0.7287 0.0466 1
F11 0.3906 0.3756 0.0543 1
F12 0.4030 0.0758 0.0643 1
F13 0.4122 0.6783 0.6835 1
F14 0.4774 0.3400 0.7036 1
```

The 10 most intense peaks (10° ≤ 2θ ≤ 80°), in order of rising 2θ:
- hkl 0 0 2, 19.07 deg, rel. 61
- hkl 1 0 1, 19.81 deg, rel. 50
- hkl 1 1 0, 20.91 deg, rel. 100
- hkl 1 1 -2, 21.18 deg, rel. 80
- hkl 0 2 0, 22.00 deg, rel. 55
- hkl 1 -2 1, 22.20 deg, rel. 64
- hkl 2 -1 0, 24.72 deg, rel. 53
- hkl 0 1 -3, 27.60 deg, rel. 40
- hkl 1 3 0, 41.46 deg, rel. 39
- hkl 3 -3 1, 43.82 deg, rel. 41